This entry pairs a crystal structure of Lu5Si10Ir4 with its computed powder diffractogram. Radiation: CuKα. Structure: a structure optimized by DFT (PBE).
Intensities are scaled so that the largest is 100.

Atomic structure:
Unit cell a=12.5483 b=12.5483 c=4.2013 alpha=90.00 beta=90.00 gamma=90.00
Sites, in units of the cell vectors:
Lu1 0.0000 0.0000 0.0000
Lu2 0.1155 0.3845 0.5000
Lu3 0.1744 0.6744 0.5000
Lu4 0.3256 0.1744 0.5000
Lu5 0.3845 0.8845 0.5000
Lu6 0.5000 0.5000 0.0000
Lu7 0.6155 0.1155 0.5000
Lu8 0.6744 0.8256 0.5000
Lu9 0.8256 0.3256 0.5000
Lu10 0.8845 0.6155 0.5000
Si1 0.0036 0.8453 0.5000
Si2 0.0660 0.5660 0.0000
Si3 0.1547 0.0036 0.5000
Si4 0.1649 0.2009 0.0000
Si5 0.2009 0.8351 0.0000
Si6 0.2991 0.3351 0.0000
Si7 0.3351 0.7009 0.0000
Si8 0.3453 0.5036 0.5000
Si9 0.4340 0.0660 0.0000
Si10 0.4964 0.3453 0.5000
Si11 0.5036 0.6547 0.5000
Si12 0.5660 0.9340 0.0000
Si13 0.6547 0.4964 0.5000
Si14 0.6649 0.2991 0.0000
Si15 0.7009 0.6649 0.0000
Si16 0.7991 0.1649 0.0000
Si17 0.8351 0.7991 0.0000
Si18 0.8453 0.9964 0.5000
Si19 0.9340 0.4340 0.0000
Si20 0.9964 0.1547 0.5000
Ir1 0.0196 0.7544 0.0000
Ir2 0.2456 0.0196 0.0000
Ir3 0.2544 0.5196 0.0000
Ir4 0.4804 0.2544 0.0000
Ir5 0.5196 0.7456 0.0000
Ir6 0.7456 0.4804 0.0000
Ir7 0.7544 0.9804 0.0000
Ir8 0.9804 0.2456 0.0000

Largest 10 diffraction maxima, by intensity, 2θ = 10–90°:
d = 2.514 Å, intensity 100; d = 2.464 Å, intensity 44; d = 3.050 Å, intensity 33; d = 2.101 Å, intensity 32; d = 2.418 Å, intensity 30; d = 3.968 Å, intensity 26; d = 3.484 Å, intensity 26; d = 2.218 Å, intensity 25; d = 3.797 Å, intensity 22; d = 4.437 Å, intensity 20

***

This entry pairs a crystal structure of Na2Mg2NiSn2Ir with its computed powder diffractogram. Radiation: CuKα. Structure: a structure optimized by DFT (PBE).
Intensities are scaled so that the largest is 100.

Atomic structure:
Unit cell a=4.6822 b=4.6822 c=6.5930 alpha=90.00 beta=90.00 gamma=90.00
Sites, in units of the cell vectors:
Na1 0.0000 0.0000 0.0000
Na2 0.5000 0.5000 0.5000
Mg1 0.0000 0.5000 0.2478
Mg2 0.5000 0.0000 0.7522
Ni1 0.0000 0.0000 0.5000
Sn1 0.0000 0.5000 0.7476
Sn2 0.5000 0.0000 0.2524
Ir1 0.5000 0.5000 0.0000

Largest 10 diffraction maxima, by intensity, 2θ = 10–90°:
d = 2.338 Å, intensity 100; d = 3.817 Å, intensity 53; d = 1.351 Å, intensity 23; d = 1.996 Å, intensity 19; d = 1.348 Å, intensity 12; d = 1.655 Å, intensity 11; d = 1.989 Å, intensity 9; d = 6.593 Å, intensity 8; d = 4.682 Å, intensity 8; d = 1.516 Å, intensity 8

***

This entry pairs a crystal structure of PrNd2Mg3Ir3 with its computed powder diffractogram. Radiation: CuKα. Structure: a structure optimized by DFT (PBE).
Intensities are scaled so that the largest is 100.

Atomic structure:
Unit cell a=4.1547 b=7.4292 c=7.4292 alpha=120.01 beta=90.00 gamma=90.00
Sites, in units of the cell vectors:
Pr1 0.0000 0.0000 0.0000
Nd1 0.0000 0.4119 0.8228
Nd2 0.0000 0.8228 0.4119
Mg1 0.5000 0.1714 0.4126
Mg2 0.5000 0.4126 0.1714
Mg3 0.5000 0.6523 0.6523
Ir1 0.0000 0.4130 0.4130
Ir2 0.5000 0.0792 0.7440
Ir3 0.5000 0.7440 0.0792

Largest 10 diffraction maxima, by intensity, 2θ = 10–90°:
d = 2.543 Å, intensity 100; d = 2.769 Å, intensity 64; d = 3.714 Å, intensity 55; d = 2.144 Å, intensity 39; d = 2.099 Å, intensity 39; d = 3.490 Å, intensity 31; d = 1.391 Å, intensity 26; d = 1.492 Å, intensity 25; d = 2.077 Å, intensity 24; d = 1.639 Å, intensity 17

***

This entry pairs a crystal structure of TbNd2Mg3Ir3 with its computed powder diffractogram. Radiation: CuKα. Structure: a structure optimized by DFT (PBE).
Intensities are scaled so that the largest is 100.

Atomic structure:
Unit cell a=4.1194 b=7.3669 c=7.3669 alpha=119.89 beta=90.00 gamma=90.00
Sites, in units of the cell vectors:
Tb1 0.0000 0.0000 0.0000
Nd1 0.0000 0.1803 0.5922
Nd2 0.0000 0.5922 0.1803
Mg1 0.5000 0.3491 0.3491
Mg2 0.5000 0.5946 0.8350
Mg3 0.5000 0.8350 0.5946
Ir1 0.0000 0.5970 0.5970
Ir2 0.5000 0.2536 0.9284
Ir3 0.5000 0.9284 0.2536

Largest 10 diffraction maxima, by intensity, 2θ = 10–90°:
d = 2.523 Å, intensity 100; d = 2.747 Å, intensity 66; d = 3.685 Å, intensity 54; d = 2.128 Å, intensity 39; d = 2.082 Å, intensity 38; d = 3.461 Å, intensity 30; d = 1.480 Å, intensity 25; d = 2.060 Å, intensity 24; d = 1.380 Å, intensity 19; d = 1.626 Å, intensity 17

***

This entry pairs a crystal structure of Pr2Mg4NiIr with its computed powder diffractogram. Radiation: CuKα. Structure: a structure optimized by DFT (PBE).
Intensities are scaled so that the largest is 100.

Atomic structure:
Unit cell a=8.3312 b=4.1808 c=10.3298 alpha=90.00 beta=90.00 gamma=90.00
Sites, in units of the cell vectors:
Pr1 0.0000 0.0000 0.0000
Pr2 0.0000 0.5000 0.5000
Pr3 0.5000 0.0000 0.1257
Pr4 0.5000 0.5000 0.6257
Mg1 0.1963 0.0000 0.7196
Mg2 0.1963 0.5000 0.2196
Mg3 0.3069 0.0000 0.4099
Mg4 0.3069 0.5000 0.9099
Mg5 0.6931 0.0000 0.4099
Mg6 0.6931 0.5000 0.9099
Mg7 0.8037 0.0000 0.7196
Mg8 0.8037 0.5000 0.2196
Ni1 0.5000 0.0000 0.8365
Ni2 0.5000 0.5000 0.3365
Ir1 0.0000 0.0000 0.2932
Ir2 0.0000 0.5000 0.7932

Largest 10 diffraction maxima, by intensity, 2θ = 10–90°:
d = 2.532 Å, intensity 100; d = 4.166 Å, intensity 74; d = 2.837 Å, intensity 69; d = 3.875 Å, intensity 41; d = 1.920 Å, intensity 40; d = 2.467 Å, intensity 36; d = 8.331 Å, intensity 23; d = 2.090 Å, intensity 23; d = 4.390 Å, intensity 20; d = 1.595 Å, intensity 19

***

This entry pairs a crystal structure of Mg4P6Ir7 with its computed powder diffractogram. Radiation: CuKα. Structure: a structure optimized by DFT (PBE).
Intensities are scaled so that the largest is 100.

Atomic structure:
Unit cell a=6.8672 b=6.8672 c=6.8672 alpha=109.47 beta=109.47 gamma=109.47
Sites, in units of the cell vectors:
Mg1 0.0000 0.0000 0.5000
Mg2 0.0000 0.5000 0.0000
Mg3 0.5000 0.0000 0.0000
Mg4 0.5000 0.5000 0.5000
P1 0.0000 0.3178 0.3178
P2 0.0000 0.6822 0.6822
P3 0.3178 0.0000 0.3178
P4 0.3178 0.3178 0.0000
P5 0.6822 0.0000 0.6822
P6 0.6822 0.6822 0.0000
Ir1 0.0000 0.0000 0.0000
Ir2 0.2500 0.5000 0.7500
Ir3 0.2500 0.7500 0.5000
Ir4 0.5000 0.2500 0.7500
Ir5 0.5000 0.7500 0.2500
Ir6 0.7500 0.2500 0.5000
Ir7 0.7500 0.5000 0.2500

Largest 10 diffraction maxima, by intensity, 2θ = 10–90°:
d = 3.237 Å, intensity 100; d = 2.119 Å, intensity 88; d = 2.289 Å, intensity 80; d = 1.982 Å, intensity 68; d = 3.965 Å, intensity 56; d = 1.402 Å, intensity 41; d = 1.691 Å, intensity 29; d = 1.195 Å, intensity 26; d = 5.607 Å, intensity 26; d = 1.286 Å, intensity 26

***

This entry pairs a crystal structure of Pr3Mg3IrPd2 with its computed powder diffractogram. Radiation: CuKα. Structure: a structure optimized by DFT (PBE).
Intensities are scaled so that the largest is 100.

Atomic structure:
Unit cell a=7.5673 b=7.5673 c=4.1992 alpha=90.00 beta=90.00 gamma=120.00
Sites, in units of the cell vectors:
Pr1 0.0000 0.5937 0.0000
Pr2 0.4063 0.4063 0.0000
Pr3 0.5937 0.0000 0.0000
Mg1 0.0000 0.2359 0.5000
Mg2 0.2359 0.0000 0.5000
Mg3 0.7641 0.7641 0.5000
Ir1 0.0000 0.0000 0.0000
Pd1 0.3333 0.6667 0.5000
Pd2 0.6667 0.3333 0.5000

Largest 10 diffraction maxima, by intensity, 2θ = 10–90°:
d = 2.583 Å, intensity 100; d = 2.811 Å, intensity 57; d = 3.784 Å, intensity 41; d = 2.133 Å, intensity 36; d = 2.184 Å, intensity 36; d = 1.415 Å, intensity 28; d = 3.277 Å, intensity 27; d = 2.100 Å, intensity 23; d = 1.514 Å, intensity 22; d = 3.536 Å, intensity 21